For KDyCr2O8, a crystal structure in Alexandria, relaxed with GGA+U gives the calculated XRD peak list in this record (Cu Kα (λ = 1.5418 Å)).
Kinematic intensities with the Lorentz-polarization factor, no thermal factor.

Cell: 5.776 5.776 7.673 Å, 90.00 90.00 120.00°
Sites, in units of the cell vectors:
K 0.000 0.000 0.000
Dy 0.000 0.000 0.500
Cr 0.333 0.667 0.756
Cr 0.667 0.333 0.244
O 0.175 0.349 0.685
O 0.175 0.825 0.685
O 0.333 0.667 0.967
O 0.349 0.175 0.315
O 0.651 0.825 0.685
O 0.667 0.333 0.033
O 0.825 0.175 0.315
O 0.825 0.651 0.315

Peak list (8 most intense, 15° ≤ 2θ ≤ 90°, in order of rising 2θ)
2θ 17.7, intensity 39, hkl 1 0 0; 2θ 21.2, intensity 100, hkl 0 1 1; 2θ 29.3, intensity 63, hkl 0 1 2; 2θ 31.0, intensity 49, hkl 1 1 0; 2θ 43.2, intensity 32, hkl 0 2 2; 2θ 49.7, intensity 19, hkl 1 2 1; 2θ 54.1, intensity 20, hkl 2 1 2; 2θ 57.7, intensity 17, hkl 1 1 4